The following is a calculated powder diffraction line list of CrPO5. It was derived from DFT lattice parameters and positions (PBE+U), using CuKα.
No peak broadening, texture or thermal motion is included.

Structure:
```
CrPO5
1.0
0.0000 7.9649 3.4551
6.0156 0.0000 3.4551
6.0156 7.9649 0.0000
Cr P O
4 4 20
direct
0.2724 0.7276 0.4923 Cr
0.7276 0.2724 0.5077 Cr
0.7423 0.7577 0.5224 Cr
0.7577 0.7423 0.9776 Cr
0.1423 0.5766 0.9258 P
0.3242 0.8948 0.1077 P
0.5766 0.1423 0.3552 P
0.8948 0.3242 0.6734 P
0.0678 0.7905 0.2536 O
0.1070 0.4606 0.5765 O
0.1695 0.5098 0.7830 O
0.2965 0.9561 0.2537 O
0.3619 0.9964 0.4595 O
0.3941 0.6735 0.7894 O
0.4606 0.1070 0.8559 O
0.4670 0.7124 0.0805 O
0.5098 0.1695 0.5376 O
0.5297 0.6927 0.3123 O
0.6735 0.3941 0.1430 O
0.6927 0.5297 0.4654 O
0.7124 0.4670 0.7402 O
0.7563 0.9963 0.2939 O
0.7846 0.9377 0.5573 O
0.7905 0.0678 0.8881 O
0.9377 0.7846 0.7203 O
0.9561 0.2965 0.4937 O
0.9964 0.3619 0.1822 O
0.9963 0.7563 0.9535 O
```

Most intense lines, 2θ from 10° to 90°, low angle first:
2θ = 15.80°, intensity 100; 2θ = 18.48°, intensity 63; 2θ = 22.34°, intensity 19; 2θ = 26.30°, intensity 29; 2θ = 28.15°, intensity 21; 2θ = 30.79°, intensity 66; 2θ = 31.81°, intensity 48; 2θ = 31.91°, intensity 35; 2θ = 43.31°, intensity 20; 2θ = 45.66°, intensity 18